# 1
Simulated powder X-ray diffraction pattern
Compound: HgIBr3
Radiation: Cu Kα (λ = 1.5418 Å)
Structure: a GGA-PBE-relaxed structure
Intensities are scaled so that the largest is 100.

Structural model:
Lattice parameters (Å, degrees): 15.104 5.243 14.693 90.00 119.66 90.00
Space group C2/m (No. 12)
Symmetry-distinct sites (fractional):
Hg 0.130 0.000 0.483
I 0.174 0.500 0.070
Br 0.051 0.000 0.656
Br 0.163 0.000 0.117
Br 0.187 0.500 0.379

Largest 10 diffraction maxima, most intense first, 5° ≤ 2θ ≤ 70°:
two_theta	intensity	hkl
18.26	100	1 1 -1
26.85	73	3 1 -3
6.92	72	0 0 1
13.87	71	0 0 2
18.40	53	2 0 -3
34.21	41	0 2 0
35.15	31	3 1 -5
49.83	29	1 1 6
30.43	26	3 1 -4
18.00	23	2 0 1

***

# 2
Simulated powder X-ray diffraction pattern
Compound: HgIBr
Radiation: Cu Kα (λ = 1.5418 Å)
Structure: a GGA-PBE-relaxed structure
Intensities are scaled so that the largest is 100.

Structural model:
Lattice parameters (Å, degrees): 5.112 7.285 13.687 90.00 90.00 90.00
Space group Cmc2_1 (No. 36)
Symmetry-distinct sites (fractional):
Hg 0.000 0.165 0.000
I 0.000 0.106 0.630
Br 0.000 0.416 0.876

Largest 10 diffraction maxima, most intense first, 5° ≤ 2θ ≤ 70°:
two_theta	intensity	hkl
12.94	100	0 0 2
22.22	90	1 1 1
24.94	90	1 1 2
28.95	76	1 1 3
31.43	67	0 2 3
47.83	42	2 2 3
35.11	41	2 0 0
39.33	31	1 1 5
41.25	29	0 2 5
21.23	29	1 1 0

***

# 3
Simulated powder X-ray diffraction pattern
Compound: Hg3IBr
Radiation: Cu Kα (λ = 1.5418 Å)
Structure: a GGA-PBE-relaxed structure
Intensities are scaled so that the largest is 100.

Structural model:
Lattice parameters (Å, degrees): 7.5365 7.5365 23.2197 90.00 90.00 120.00
Space group R3c (No. 161, hexagonal axes)
Symmetry-distinct sites (fractional):
Hg 0.1117 0.4333 0.0000
I 0.0000 0.0000 0.1745
Br 0.0000 0.0000 0.4898

Largest 10 diffraction maxima, most intense first, 5° ≤ 2θ ≤ 70°:
two_theta	intensity	hkl
22.98	100	0 0 6
26.30	77	1 1 3
36.63	55	2 1 1
41.46	45	1 2 5
39.70	34	2 1 4
15.58	33	0 1 2
37.26	30	1 2 2
45.84	29	2 1 7
31.45	25	0 2 4
28.41	23	2 0 2

***

# 4
Simulated powder X-ray diffraction pattern
Compound: Hg6IBr2O2
Radiation: Cu Kα (λ = 1.5418 Å)
Structure: a GGA-PBE-relaxed structure
Intensities are scaled so that the largest is 100.

Structural model:
Lattice parameters (Å, degrees): 7.536 8.334 8.476 103.13 112.45 110.93
Space group P-1 (No. 2)
Symmetry-distinct sites (fractional):
Hg 0.011 0.327 0.341
Hg 0.304 0.447 0.860
Hg 0.316 0.848 0.447
I 0.500 0.500 0.500
Br 0.205 0.038 0.835
O 0.007 0.603 0.360

Largest 10 diffraction maxima, most intense first, 5° ≤ 2θ ≤ 70°:
two_theta	intensity	hkl
21.62	100	1 0 -2
12.49	65	0 0 1
32.36	53	2 1 -1
22.02	52	1 -2 0
20.03	41	1 -1 1
32.69	41	2 -1 1
33.36	30	1 -3 0
13.54	20	1 0 -1
37.02	20	-3 2 1
17.10	19	-1 1 1

***

# 5
Simulated powder X-ray diffraction pattern
Compound: Hg6S4IBr3
Radiation: Cu Kα (λ = 1.5418 Å)
Structure: a GGA-PBE-relaxed structure
Intensities are scaled so that the largest is 100.

Structural model:
Lattice parameters (Å, degrees): 13.494 13.529 4.485 90.00 90.00 90.00
Space group Pbam (No. 55)
Symmetry-distinct sites (fractional):
Hg 0.091 0.165 0.000
Hg 0.152 0.653 0.500
Hg 0.166 0.909 0.000
S 0.070 0.757 0.000
S 0.244 0.070 0.000
I 0.000 0.500 0.500
Br 0.000 0.000 0.500
Br 0.201 0.298 0.500

Largest 10 diffraction maxima, most intense first, 5° ≤ 2θ ≤ 70°:
two_theta	intensity	hkl
28.86	100	1 3 1
27.25	92	2 2 1
21.89	81	1 1 1
41.23	80	2 5 1
33.17	46	4 3 0
23.74	44	3 2 0
40.21	43	0 0 2
34.54	36	3 3 1
24.72	35	2 1 1
61.83	23	6 6 1

***

# 6
Simulated powder X-ray diffraction pattern
Compound: Hg4SbIBr2
Radiation: Cu Kα (λ = 1.5418 Å)
Structure: a GGA-PBE-relaxed structure
Intensities are scaled so that the largest is 100.

Structural model:
Lattice parameters (Å, degrees): 11.571 9.046 6.972 90.00 90.00 90.00
Space group Pmn2_1 (No. 31)
Symmetry-distinct sites (fractional):
Hg 0.000 0.052 0.000
Hg 0.000 0.714 0.788
Hg 0.164 0.403 0.776
Sb 0.000 0.206 0.664
I 0.000 0.876 0.316
Br 0.173 0.404 0.234

Largest 10 diffraction maxima, most intense first, 5° ≤ 2θ ≤ 70°:
two_theta	intensity	hkl
18.20	100	2 1 0
14.83	77	1 0 1
36.12	59	3 1 2
28.15	57	2 2 1
27.42	55	0 1 2
30.46	53	3 2 0
25.55	42	0 0 2
33.34	42	1 2 2
36.03	41	2 2 2
15.31	40	2 0 0

***

# 7
Simulated powder X-ray diffraction pattern
Compound: Hg3Te2IBr
Radiation: Cu Kα (λ = 1.5418 Å)
Structure: a GGA-PBE-relaxed structure
Intensities are scaled so that the largest is 100.

Structural model:
Lattice parameters (Å, degrees): 18.907 10.530 10.669 90.00 90.61 90.00
Space group C2 (No. 5)
Symmetry-distinct sites (fractional):
Hg 0.000 0.000 0.000
Hg 0.000 0.437 0.000
Hg 0.006 0.230 0.302
Hg 0.127 0.914 0.289
Hg 0.130 0.544 0.269
Hg 0.249 0.726 0.710
Hg 0.250 0.446 0.990
Te 0.012 0.485 0.749
Te 0.014 0.974 0.746
Te 0.230 0.979 0.758
Te 0.231 0.469 0.736
I 0.125 0.227 0.017
I 0.128 0.222 0.490
Br 0.131 0.721 0.478
Br 0.132 0.737 0.056

Largest 10 diffraction maxima, most intense first, 5° ≤ 2θ ≤ 70°:
two_theta	intensity	hkl
34.07	100	0 4 0
33.60	96	0 0 4
38.08	96	8 0 0
30.33	91	4 2 -2
18.79	82	0 2 1
25.04	81	0 0 3
42.72	77	4 4 -2
27.17	67	1 3 1
30.56	66	4 2 2
25.32	59	4 2 0

***

# 8
Simulated powder X-ray diffraction pattern
Compound: In2Hg3Br3
Radiation: Cu Kα (λ = 1.5418 Å)
Structure: a GGA-PBE-relaxed structure
Intensities are scaled so that the largest is 100.

Structural model:
Lattice parameters (Å, degrees): 13.6666 13.6666 20.8750 90.00 90.00 120.00
Space group R-3 (No. 148, hexagonal axes)
Symmetry-distinct sites (fractional):
In 0.0000 0.0000 0.2395
In 0.0068 0.7175 0.4457
Hg 0.0553 0.1992 0.6786
Hg 0.0680 0.2303 0.9736
Br 0.0134 0.1710 0.1591
Br 0.0463 0.2391 0.4294

Largest 10 diffraction maxima, most intense first, 5° ≤ 2θ ≤ 70°:
two_theta	intensity	hkl
26.24	100	2 1 4
34.74	91	1 4 0
12.72	67	0 0 3
32.22	61	4 -3 4
25.96	58	3 0 3
37.13	55	1 4 3
34.37	50	0 3 6
22.72	40	0 2 4
46.10	39	5 1 4
17.23	39	2 0 2